# Ge2MoO6
Computed XRD peak list, Cu Kα (weighted mean of Kα1 and Kα2). Input: a DFT-relaxed cell (PBE+U, Alexandria).
Lines closer than 0.1° are merged.

Most intense lines, 2θ = 10–90°, in order of rising 2θ:
(hkl), Position (°2θ), I_rel
1 1 -1, 18.66, 49
0 2 0, 19.34, 50
2 2 -1, 28.19, 100
3 1 0, 29.78, 76
0 0 2, 33.24, 48
2 2 1, 35.00, 37

```
data_Ge2MoO6
_symmetry_space_group_name_H-M 'C 1 2/c 1'
_symmetry_Int_Tables_number 15
_cell_length_a 10.110
_cell_length_b 9.181
_cell_length_c 5.724
_cell_angle_alpha 90.00
_cell_angle_beta 109.64
_cell_angle_gamma 90.00
loop_
_symmetry_equiv_pos_as_xyz
'x,y,z'
'-x,-y,-z'
'-x,y,-z+1/2'
'x,-y,z+1/2'
'x+1/2,y+1/2,z'
'-x+1/2,-y+1/2,-z'
'-x+1/2,y+1/2,-z+1/2'
'x+1/2,-y+1/2,z+1/2'
loop_
_atom_site_label
_atom_site_type_symbol
_atom_site_fract_x
_atom_site_fract_y
_atom_site_fract_z
_atom_site_occupancy
Ge1 Ge 0.197 0.087 0.239 1
Mo1 Mo 0.000 0.407 0.250 1
O1 O 0.114 0.429 0.642 1
O2 O 0.131 0.000 0.451 1
O3 O 0.138 0.266 0.207 1
```

***

# Ge2MoPO
Computed XRD peak list, Cu Kα (weighted mean of Kα1 and Kα2). Input: a DFT-relaxed cell (PBE+U, Alexandria).
Lines closer than 0.1° are merged.

Most intense lines, 2θ = 10–90°, in order of rising 2θ:
(hkl), Position (°2θ), I_rel
1 0 0, 17.99, 80
0 0 1, 19.54, 100
2 0 0, 36.45, 91
0 0 2, 39.69, 36
2 0 1, 41.69, 59
2 0 2, 54.97, 53

```
data_Ge2MoPO
_symmetry_space_group_name_H-M 'P 4/m m m'
_symmetry_Int_Tables_number 123
_symmetry_space_group_name_Hall '-P 4 2'
_cell_length_a 4.931
_cell_length_b 4.931
_cell_length_c 4.542
_cell_angle_alpha 90.00
_cell_angle_beta 90.00
_cell_angle_gamma 90.00
loop_
_atom_site_label
_atom_site_type_symbol
_atom_site_fract_x
_atom_site_fract_y
_atom_site_fract_z
_atom_site_occupancy
Ge1 Ge 0.000 0.500 0.000 1
Mo1 Mo 0.000 0.000 0.000 1
P1 P 0.000 0.000 0.500 1
O1 O 0.500 0.500 0.500 1
```

***

# GeMoPb2O6
Computed XRD peak list, Cu Kα (weighted mean of Kα1 and Kα2). Input: a DFT-relaxed cell (PBE+U, Alexandria).
Lines closer than 0.1° are merged.

Most intense lines, 2θ = 10–90°, in order of rising 2θ:
(hkl), Position (°2θ), I_rel
1 1 1, 29.69, 100
2 0 0, 32.93, 37
2 0 1, 37.96, 15
2 2 0, 47.27, 20
2 0 2, 50.53, 24
3 1 1, 56.82, 33

```
data_GeMoPb2O6
_symmetry_space_group_name_H-M 'P 4 m m'
_symmetry_Int_Tables_number 99
_cell_length_a 5.439
_cell_length_b 5.439
_cell_length_c 4.832
_cell_angle_alpha 90.00
_cell_angle_beta 90.00
_cell_angle_gamma 90.00
loop_
_symmetry_equiv_pos_as_xyz
'x,y,z'
'-y,x,z'
'-x,-y,z'
'y,-x,z'
'-x,y,z'
'y,x,z'
'x,-y,z'
'-y,-x,z'
loop_
_atom_site_label
_atom_site_type_symbol
_atom_site_fract_x
_atom_site_fract_y
_atom_site_fract_z
_atom_site_occupancy
Ge1 Ge 0.000 0.000 0.000 1
Mo1 Mo 0.500 0.500 0.999 1
Pb1 Pb 0.000 0.500 0.455 1
O1 O 0.000 0.000 0.637 1
O2 O 0.241 0.241 0.121 1
O3 O 0.500 0.500 0.610 1
```

***

# PmGeMoO6
Computed XRD peak list, Cu Kα (weighted mean of Kα1 and Kα2). Input: a DFT-relaxed cell (PBE+U, Alexandria).
Lines closer than 0.1° are merged.

Most intense lines, 2θ = 10–90°, in order of rising 2θ:
(hkl), Position (°2θ), I_rel
1 1 0, 26.01, 100
1 0 3, 33.47, 81
2 0 0, 37.11, 21
2 1 3, 50.83, 65
2 2 0, 53.49, 18
3 0 3, 64.59, 19

```
data_PmGeMoO6
_symmetry_space_group_name_H-M 'P 42 n m'
_symmetry_Int_Tables_number 102
_cell_length_a 4.845
_cell_length_b 4.845
_cell_length_c 9.636
_cell_angle_alpha 90.00
_cell_angle_beta 90.00
_cell_angle_gamma 90.00
loop_
_symmetry_equiv_pos_as_xyz
'x,y,z'
'-y+1/2,x+1/2,z+1/2'
'-x,-y,z'
'y+1/2,-x+1/2,z+1/2'
'-x+1/2,y+1/2,z+1/2'
'y,x,z'
'x+1/2,-y+1/2,z+1/2'
'-y,-x,z'
loop_
_atom_site_label
_atom_site_type_symbol
_atom_site_fract_x
_atom_site_fract_y
_atom_site_fract_z
_atom_site_occupancy
Pm1 Pm 0.000 0.000 0.000 1
Ge1 Ge 0.000 0.000 0.661 1
Mo1 Mo 0.000 0.000 0.333 1
O1 O 0.172 0.172 0.501 1
O2 O 0.219 0.219 0.807 1
O3 O 0.225 0.225 0.179 1
```